Structure and simulated XRD peak list of Li6TiMn3P6O24 (a DFT-relaxed cell (GGA+U, the Materials Project); Cu Kα (weighted mean of Kα1 and Kα2)).

Principal peaks in the range 15° ≤ 2θ ≤ 90°, in order of rising 2θ:
two_theta	I_rel	index
19.98	29.3	1 0 -1
20.28	32.3	1 1 2
20.57	60.4	2 1 1
23.55	73.8	1 0 2
23.83	100.0	0 2 1
23.91	37.3	2 1 0
28.73	33.1	2 0 2
32.30	26.7	2 1 3
32.71	24.0	2 3 1
34.91	25.3	1 1 -2

Structure:
```
Li6TiMn3P6O24
1.0
8.620 0.000 0.000
4.143 7.601 0.000
4.199 2.484 7.283
Li Ti Mn P O
6 1 3 6 24
direct
0.000 0.000 0.000
0.076 0.511 0.886
0.355 0.146 0.716
0.505 0.879 0.089
0.694 0.317 0.462
0.859 0.657 0.264
0.500 0.316 0.891
0.206 0.021 0.597
0.705 0.511 0.093
0.995 0.805 0.388
0.101 0.206 0.190
0.307 0.716 0.994
0.393 0.624 0.500
0.600 0.116 0.295
0.811 0.920 0.791
0.911 0.414 0.688
0.060 0.050 0.191
0.094 0.243 0.677
0.113 0.720 0.139
0.141 0.159 0.359
0.231 0.644 0.456
0.265 0.247 0.004
0.286 0.908 0.843
0.349 0.783 0.561
0.375 0.552 0.923
0.429 0.429 0.658
0.442 0.087 0.479
0.456 0.686 0.065
0.535 0.184 0.127
0.583 0.607 0.341
0.615 0.077 0.830
0.657 0.267 0.281
0.740 0.348 0.758
0.769 0.936 0.277
0.789 0.752 0.972
0.843 0.895 0.618
0.896 0.473 0.836
0.910 0.568 0.503
0.939 0.397 0.171
0.970 0.968 0.778
```